Entry 1:
This entry pairs a crystal structure of SrPuO3 with its theoretical XRD peak list. Radiation: a wavelength of 1.5418 Å. Structure: a DFT-relaxed cell (GGA-PBE, the Materials Project).
Kinematic intensities with the Lorentz-polarization factor, no thermal factor.

The 9 most intense peaks (2θ = 5–70°), in order of falling intensity:
Position (°2θ)	d [Å]	I/Imax	h k l
28.94	3.085	100	1 1 0
51.29	1.781	43	2 1 1
20.35	4.363	33	1 0 0
41.39	2.182	28	2 0 0
67.94	1.380	19	3 1 0
59.97	1.543	19	2 2 0
46.54	1.951	16	2 1 0
64.02	1.454	8	3 0 0
35.64	2.519	4	1 1 1

Cell and atoms:
```
5
Lattice="4.363 0.000 0.000 0.000 4.363 0.000 0.000 0.000 4.363" Properties=species:S:1:pos:R:3 pbc="T T T"
Sr 0.000 0.000 0.000
Pu 2.182 2.182 2.182
O 0.000 2.182 2.182
O 2.182 0.000 2.182
O 2.182 2.182 0.000
```



Entry 2:
This entry pairs a crystal structure of BaU2S5 with its theoretical XRD peak list. Radiation: a wavelength of 1.5418 Å. Structure: a DFT-relaxed cell (GGA-PBE, the Materials Project).
Kinematic intensities with the Lorentz-polarization factor, no thermal factor.

The 10 most intense peaks (2θ = 5–70°), in order of falling intensity:
Position (°2θ)	d [Å]	I/Imax	h k l
26.32	3.387	100	2 2 0
23.80	3.739	91	3 0 1
35.97	2.497	64	2 2 2
43.33	2.088	48	5 2 1
24.12	3.690	45	0 0 2
32.89	2.723	42	3 2 1
13.61	6.506	32	2 0 0
48.31	1.884	25	3 2 3
52.12	1.755	25	3 4 1
42.24	2.140	24	3 0 3

Cell and atoms:
```
32
Lattice="13.012 0.000 0.000 0.000 7.949 0.000 0.000 0.000 7.380" Properties=species:S:1:pos:R:3 pbc="T T T"
Ba 0.094 1.987 0.545
Ba 6.412 5.962 4.235
Ba 6.599 1.987 3.145
Ba 12.918 5.962 6.834
U 2.402 0.052 3.737
U 2.402 3.923 3.737
U 4.104 4.026 0.048
U 4.104 7.897 0.048
U 8.908 0.052 7.332
U 8.908 3.923 7.332
U 10.610 4.026 3.642
U 10.610 7.897 3.642
S 0.162 1.987 3.625
S 1.722 4.352 1.239
S 1.722 7.572 1.239
S 2.502 1.987 6.025
S 2.817 5.962 5.762
S 3.689 1.987 2.072
S 4.004 5.962 2.336
S 4.784 0.377 4.929
S 4.784 3.597 4.929
S 6.344 5.962 7.315
S 6.668 1.987 0.064
S 8.228 4.352 2.451
S 8.228 7.572 2.451
S 9.008 1.987 5.044
S 9.323 5.962 5.308
S 10.195 1.987 1.618
S 10.510 5.962 1.354
S 11.290 0.377 6.141
S 11.290 3.597 6.141
S 12.849 5.962 3.754
```



Entry 3:
This entry pairs a crystal structure of TeO2 with its theoretical XRD peak list. Radiation: a wavelength of 1.5418 Å. Structure: a DFT-relaxed cell (GGA-PBE, the Materials Project).
Kinematic intensities with the Lorentz-polarization factor, no thermal factor.

The 10 most intense peaks (2θ = 5–70°), in order of falling intensity:
Position (°2θ)	d [Å]	I/Imax	h k l
26.74	3.334	100	0 1 2
28.42	3.141	88	1 1 1
22.30	3.986	44	1 0 1
26.49	3.365	35	1 1 0
20.12	4.412	25	0 1 1
54.66	1.679	24	2 1 3
36.64	2.452	23	1 0 3
41.68	2.167	21	2 0 1
45.82	1.980	19	1 2 2
45.47	1.995	18	2 1 1

Cell and atoms:
```
12
Lattice="4.471 0.000 0.000 0.000 5.109 0.000 0.000 0.000 8.798" Properties=species:S:1:pos:R:3 pbc="T T T"
Te 0.527 0.211 3.490
Te 1.708 4.898 7.889
Te 2.763 2.343 5.308
Te 3.944 2.766 0.909
O 0.724 1.231 1.921
O 0.981 1.832 4.750
O 1.254 3.277 0.351
O 1.512 3.878 6.320
O 2.960 1.323 6.877
O 3.217 0.723 4.048
O 3.490 4.386 8.447
O 3.747 3.786 2.478
```



Entry 4:
This entry pairs a crystal structure of Zr3Mn8Si with its theoretical XRD peak list. Radiation: a wavelength of 1.5418 Å. Structure: a DFT-relaxed cell (GGA-PBE, the Materials Project).
Kinematic intensities with the Lorentz-polarization factor, no thermal factor.

The 10 most intense peaks (2θ = 5–70°), in order of falling intensity:
Position (°2θ)	d [Å]	I/Imax	h k l
43.56	2.078	100	1 1 2
39.86	2.262	89	0 1 3
44.57	2.033	81	0 2 1
37.05	2.426	42	1 1 0
68.67	1.367	29	1 2 3
45.05	2.012	14	0 0 4
30.76	2.907	14	1 0 2
48.90	1.863	13	2 0 2
43.05	2.101	13	2 0 0
50.27	1.815	11	0 1 4

Cell and atoms:
```
12
Lattice="4.853 0.000 0.000 -2.426 4.202 0.000 0.000 0.000 8.050" Properties=species:S:1:pos:R:3 pbc="T T T"
Zr 0.000 0.000 0.000
Zr 0.000 0.000 3.052
Zr 2.426 1.401 4.212
Mn 0.000 1.364 5.638
Mn -1.245 3.520 5.638
Mn 0.000 2.802 3.516
Mn 0.000 2.802 7.569
Mn 2.426 0.065 1.521
Mn 1.269 2.069 1.521
Mn 1.245 3.520 5.638
Mn 3.583 2.069 1.521
Si 2.426 1.401 7.084
```



Entry 5:
This entry pairs a crystal structure of Ho5Ga3 with its theoretical XRD peak list. Radiation: a wavelength of 1.5418 Å. Structure: a DFT-relaxed cell (GGA-PBE, the Materials Project).
Kinematic intensities with the Lorentz-polarization factor, no thermal factor.

The 10 most intense peaks (2θ = 5–70°), in order of falling intensity:
Position (°2θ)	d [Å]	I/Imax	h k l
32.54	2.751	100	2 1 3
37.43	2.402	43	3 1 0
34.76	2.581	37	2 0 4
27.00	3.303	18	2 1 1
53.43	1.715	17	4 1 3
57.78	1.596	16	3 3 4
30.38	2.943	15	1 1 4
38.39	2.345	13	0 0 6
33.36	2.686	13	2 2 0
65.79	1.419	12	3 1 8

Cell and atoms:
```
32
Lattice="7.597 0.000 0.000 0.000 7.597 0.000 0.000 0.000 14.069" Properties=species:S:1:pos:R:3 pbc="T T T"
Ho 0.565 4.464 1.437
Ho 0.565 6.932 8.471
Ho 0.665 4.363 5.598
Ho 0.665 7.032 12.632
Ho 1.899 1.899 3.344
Ho 1.899 1.899 10.379
Ho 3.133 4.363 12.632
Ho 3.133 7.032 5.598
Ho 3.234 4.464 8.471
Ho 3.234 6.932 1.437
Ho 4.363 0.665 12.632
Ho 4.363 3.133 5.598
Ho 4.464 0.565 8.471
Ho 4.464 3.234 1.437
Ho 5.698 5.698 3.690
Ho 5.698 5.698 10.725
Ho 6.932 0.565 1.437
Ho 6.932 3.234 8.471
Ho 7.032 0.665 5.598
Ho 7.032 3.133 12.632
Ga 0.966 4.765 10.552
Ga 0.966 6.630 3.517
Ga 1.899 1.899 0.056
Ga 1.899 1.899 7.091
Ga 2.832 4.765 3.517
Ga 2.832 6.630 10.552
Ga 4.765 0.966 3.517
Ga 4.765 2.832 10.552
Ga 5.698 5.698 6.978
Ga 5.698 5.698 14.013
Ga 6.630 0.966 10.552
Ga 6.630 2.832 3.517
```



Entry 6:
This entry pairs a crystal structure of MgCu2Pb2O4 with its theoretical XRD peak list. Radiation: a wavelength of 1.5418 Å. Structure: a DFT-relaxed cell (GGA-PBE, the Materials Project).
Kinematic intensities with the Lorentz-polarization factor, no thermal factor.

The 10 most intense peaks (2θ = 5–70°), in order of falling intensity:
Position (°2θ)	d [Å]	I/Imax	h k l
31.59	2.832	100	0 2 -1
30.70	2.912	87	1 1 -2
28.35	3.148	80	1 1 0
30.38	2.942	56	-1 1 1
34.24	2.619	46	2 0 -1
44.57	2.033	45	1 -2 2
22.99	3.868	43	1 -1 0
23.25	3.827	42	1 1 -1
18.36	4.833	42	1 0 0
31.39	2.850	38	0 1 1

Cell and atoms:
```
9
Lattice="5.265 0.000 0.000 -0.056 5.670 0.000 -2.097 -2.792 4.919" Properties=species:S:1:pos:R:3 pbc="T T T"
Mg 0.000 0.000 0.000
Cu -0.028 2.835 0.000
Cu 2.633 0.000 0.000
Pb 0.478 0.023 3.049
Pb 2.634 2.855 1.870
O 1.179 4.300 0.839
O 1.218 1.373 0.853
O 1.894 1.505 4.067
O 1.933 -1.422 4.080
```



Entry 7:
This entry pairs a crystal structure of SbPC3Cl5O with its theoretical XRD peak list. Radiation: a wavelength of 1.5418 Å. Structure: a DFT-relaxed cell (GGA-PBE, the Materials Project).
Kinematic intensities with the Lorentz-polarization factor, no thermal factor.

The 10 most intense peaks (2θ = 5–70°), in order of falling intensity:
Position (°2θ)	d [Å]	I/Imax	h k l
14.50	6.110	100	1 0 2
10.88	8.129	70	0 1 1
19.59	4.531	34	2 0 0
14.64	6.052	33	1 1 1
18.69	4.748	23	0 1 -3
31.54	2.837	17	3 0 -2
30.70	2.912	14	0 3 -2
25.00	3.562	13	0 2 3
19.77	4.491	13	0 2 -1
22.09	4.024	11	1 -2 1

Cell and atoms:
```
44
Lattice="9.063 0.000 0.000 0.002 9.333 0.000 0.069 0.058 16.544" Properties=species:S:1:pos:R:3 pbc="T T T"
Sb 0.000 0.000 0.000
Sb 0.061 2.907 8.272
Sb 4.524 4.706 12.402
Sb 4.544 7.555 4.129
P 3.771 1.286 3.036
P 5.325 1.647 11.309
P 8.328 5.967 9.362
P 8.297 6.272 1.089
C 0.544 7.175 8.374
C 0.514 5.056 0.109
C 0.654 7.362 9.680
C 0.620 4.871 1.414
C 3.939 0.248 10.995
C 4.051 0.434 12.301
C 4.221 1.761 4.824
C 4.884 1.171 13.095
C 5.052 2.493 4.028
C 5.165 2.679 2.719
C 8.775 6.441 7.576
C 8.819 5.846 15.849
Cl 0.096 1.361 9.996
Cl 2.185 4.329 12.675
Cl 2.175 7.920 4.371
Cl 2.400 3.288 8.005
Cl 2.434 9.055 16.312
Cl 4.414 0.820 6.187
Cl 4.493 6.248 10.675
Cl 4.543 6.106 6.037
Cl 4.574 6.167 14.301
Cl 4.533 6.005 2.409
Cl 4.703 2.112 14.460
Cl 6.731 3.244 8.072
Cl 6.766 9.004 16.311
Cl 6.919 4.360 12.595
Cl 6.906 7.905 4.345
Cl 8.970 5.492 6.218
Cl 9.020 6.775 14.478
Cl 9.040 1.546 1.722
Cl 9.078 1.449 6.371
Cl 9.115 1.511 14.640
O 0.058 4.589 9.510
O 0.038 7.647 1.227
O 4.527 3.022 11.165
O 4.566 9.240 2.895
```